Entry 1:
Diffraction record for Y2Zn17. The X-ray diffraction stick pattern is theoretical, not measured: it uses a cell relaxed with PBE and Cu Kα (λ = 1.5418 Å).
Kinematic intensities with the Lorentz-polarization factor, no thermal factor.

Crystal structure
Lattice parameters (Å, degrees): 9.0264 9.0264 8.6970 90.00 90.00 120.00
Fractional coordinates of all 38 atoms:
Y 0.0000 0.0000 0.2500
Y 0.0000 0.0000 0.7500
Y 0.3333 0.6667 0.2500
Y 0.6667 0.3333 0.7500
Zn 0.0000 0.5000 0.0000
Zn 0.0000 0.5000 0.5000
Zn 0.0360 0.3650 0.7500
Zn 0.0360 0.6710 0.7500
Zn 0.1617 0.3235 0.0194
Zn 0.1617 0.3235 0.4806
Zn 0.1617 0.8383 0.0194
Zn 0.1617 0.8383 0.4806
Zn 0.3235 0.1617 0.5194
Zn 0.3235 0.1617 0.9806
Zn 0.3290 0.3650 0.7500
Zn 0.3290 0.9640 0.7500
Zn 0.3333 0.6667 0.5982
Zn 0.3333 0.6667 0.9018
Zn 0.3650 0.0360 0.2500
Zn 0.3650 0.3290 0.2500
Zn 0.5000 0.0000 0.0000
Zn 0.5000 0.0000 0.5000
Zn 0.5000 0.5000 0.0000
Zn 0.5000 0.5000 0.5000
Zn 0.6350 0.6710 0.7500
Zn 0.6350 0.9640 0.7500
Zn 0.6667 0.3333 0.0982
Zn 0.6667 0.3333 0.4018
Zn 0.6710 0.0360 0.2500
Zn 0.6710 0.6350 0.2500
Zn 0.6765 0.8383 0.0194
Zn 0.6765 0.8383 0.4806
Zn 0.8383 0.1617 0.5194
Zn 0.8383 0.1617 0.9806
Zn 0.8383 0.6765 0.5194
Zn 0.8383 0.6765 0.9806
Zn 0.9640 0.3290 0.2500
Zn 0.9640 0.6350 0.2500

Largest 10 diffraction maxima, most intense first, 5 to 70 degrees two-theta:
d 2.235, 40.35°, intensity 100
d 2.003, 45.27°, intensity 64
d 2.257, 39.95°, intensity 60
d 2.328, 38.67°, intensity 38
d 2.174, 41.53°, intensity 36
d 2.606, 34.42°, intensity 35
d 1.422, 65.67°, intensity 16
d 1.959, 46.35°, intensity 14
d 1.566, 58.99°, intensity 14
d 2.069, 43.75°, intensity 10

***

Entry 2:
Diffraction record for ZrZn. The X-ray diffraction stick pattern is theoretical, not measured: it uses a cell relaxed with PBE and Cu Kα (λ = 1.5418 Å).
Kinematic intensities with the Lorentz-polarization factor, no thermal factor.

Crystal structure
Lattice parameters (Å, degrees): 3.3450 3.3450 3.3450 90.00 90.00 90.00
Fractional coordinates of all 2 atoms:
Zr 0.0000 0.0000 0.0000
Zn 0.5000 0.5000 0.5000

Largest 6 diffraction maxima, most intense first, 5 to 70 degrees two-theta:
d 2.365, 38.04°, intensity 100
d 1.366, 68.74°, intensity 33
d 1.672, 54.90°, intensity 17
d 3.345, 26.65°, intensity 2
d 1.496, 62.04°, intensity 1
d 1.931, 47.05°, intensity 1

***

Entry 3:
Diffraction record for Zr2Zn. The X-ray diffraction stick pattern is theoretical, not measured: it uses a cell relaxed with PBE and Cu Kα (λ = 1.5418 Å).
Kinematic intensities with the Lorentz-polarization factor, no thermal factor.

Crystal structure
Lattice parameters (Å, degrees): 6.1357 6.1357 6.1357 148.76 148.76 44.77
Fractional coordinates of all 3 atoms:
Zr 0.1567 0.1567 0.0000
Zr 0.8433 0.8433 0.0000
Zn 0.5000 0.5000 0.0000

Largest 10 diffraction maxima, most intense first, 5 to 70 degrees two-theta:
d 2.489, 36.09°, intensity 100
d 2.337, 38.53°, intensity 43
d 1.376, 68.12°, intensity 29
d 1.470, 63.26°, intensity 17
d 1.652, 55.63°, intensity 14
d 1.891, 48.12°, intensity 10
d 3.173, 28.13°, intensity 3
d 1.804, 50.61°, intensity 2
d 2.837, 31.54°, intensity 2
d 1.455, 63.97°, intensity 2

***

Entry 4:
Diffraction record for Zr5Zn39. The X-ray diffraction stick pattern is theoretical, not measured: it uses a cell relaxed with PBE and Cu Kα (λ = 1.5418 Å).
Kinematic intensities with the Lorentz-polarization factor, no thermal factor.

Crystal structure
Lattice parameters (Å, degrees): 9.9184 9.9184 12.5080 129.03 129.03 51.40
Fractional coordinates of all 44 atoms:
Zr 0.0000 0.0000 0.0000
Zr 0.2291 0.2291 0.6544
Zr 0.4282 0.4282 0.2085
Zr 0.5718 0.5718 0.7915
Zr 0.7709 0.7709 0.3456
Zn 0.0000 0.0000 0.5000
Zn 0.0000 0.5000 0.0000
Zn 0.0000 0.5000 0.5000
Zn 0.0612 0.3709 0.2716
Zn 0.0954 0.7894 0.1625
Zn 0.1057 0.6388 0.2968
Zn 0.1215 0.1215 0.3412
Zn 0.1629 0.6872 0.5574
Zn 0.2106 0.9046 0.8375
Zn 0.2158 0.2158 0.0918
Zn 0.2192 0.2192 0.8762
Zn 0.2215 0.5339 0.9514
Zn 0.2684 0.5873 0.8010
Zn 0.3128 0.8371 0.4426
Zn 0.3456 0.3456 0.5599
Zn 0.3612 0.8943 0.7032
Zn 0.3709 0.0612 0.2716
Zn 0.4034 0.4034 0.4194
Zn 0.4127 0.7316 0.1990
Zn 0.4661 0.7785 0.0486
Zn 0.5000 0.0000 0.0000
Zn 0.5000 0.0000 0.5000
Zn 0.5339 0.2215 0.9514
Zn 0.5873 0.2684 0.8010
Zn 0.5966 0.5966 0.5806
Zn 0.6291 0.9388 0.7284
Zn 0.6388 0.1057 0.2968
Zn 0.6544 0.6544 0.4401
Zn 0.6872 0.1629 0.5574
Zn 0.7316 0.4127 0.1990
Zn 0.7785 0.4661 0.0486
Zn 0.7808 0.7808 0.1238
Zn 0.7842 0.7842 0.9082
Zn 0.7894 0.0954 0.1625
Zn 0.8371 0.3128 0.4426
Zn 0.8785 0.8785 0.6588
Zn 0.8943 0.3612 0.7032
Zn 0.9046 0.2106 0.8375
Zn 0.9388 0.6291 0.7284

Largest 10 diffraction maxima, most intense first, 5 to 70 degrees two-theta:
d 2.353, 38.26°, intensity 100
d 2.104, 42.98°, intensity 80
d 2.085, 43.40°, intensity 73
d 2.373, 37.92°, intensity 65
d 2.132, 42.40°, intensity 65
d 2.179, 41.43°, intensity 63
d 2.158, 41.87°, intensity 58
d 1.983, 45.76°, intensity 44
d 2.561, 35.04°, intensity 42
d 2.451, 36.66°, intensity 39

***

Entry 5:
Diffraction record for ZrZn. The X-ray diffraction stick pattern is theoretical, not measured: it uses a cell relaxed with PBE and Cu Kα (λ = 1.5418 Å).
Kinematic intensities with the Lorentz-polarization factor, no thermal factor.

Crystal structure
Lattice parameters (Å, degrees): 3.8950 3.8950 3.8950 60.00 60.00 60.00
Fractional coordinates of all 2 atoms:
Zr 0.0000 0.0000 0.0000
Zn 0.5000 0.5000 0.5000

Largest 6 diffraction maxima, most intense first, 5 to 70 degrees two-theta:
d 2.754, 32.51°, intensity 100
d 1.947, 46.64°, intensity 71
d 1.590, 58.00°, intensity 24
d 1.377, 68.09°, intensity 11
d 3.180, 28.06°, intensity 3
d 1.661, 55.31°, intensity 2

***

Entry 6:
Diffraction record for Zr4Zn. The X-ray diffraction stick pattern is theoretical, not measured: it uses a cell relaxed with PBE and Cu Kα (λ = 1.5418 Å).
Kinematic intensities with the Lorentz-polarization factor, no thermal factor.

Crystal structure
Lattice parameters (Å, degrees): 7.1108 7.1108 7.1108 60.00 60.00 60.00
Fractional coordinates of all 10 atoms:
Zr 0.1903 0.7699 0.7699
Zr 0.2301 0.2301 0.2301
Zr 0.2301 0.2301 0.8097
Zr 0.2301 0.8097 0.2301
Zr 0.7699 0.1903 0.7699
Zr 0.7699 0.7699 0.1903
Zr 0.7699 0.7699 0.7699
Zr 0.8097 0.2301 0.2301
Zn 0.3750 0.3750 0.3750
Zn 0.6250 0.6250 0.6250

Largest 10 diffraction maxima, most intense first, 5 to 70 degrees two-theta:
d 2.903, 30.80°, intensity 100
d 1.778, 51.40°, intensity 38
d 1.935, 46.95°, intensity 35
d 2.307, 39.04°, intensity 32
d 2.514, 35.71°, intensity 28
d 1.516, 61.13°, intensity 23
d 3.555, 25.05°, intensity 20
d 1.408, 66.39°, intensity 13
d 1.676, 54.77°, intensity 3
d 1.451, 64.16°, intensity 3

***

Entry 7:
Diffraction record for ZrZn2. The X-ray diffraction stick pattern is theoretical, not measured: it uses a cell relaxed with PBE and Cu Kα (λ = 1.5418 Å).
Kinematic intensities with the Lorentz-polarization factor, no thermal factor.

Crystal structure
Lattice parameters (Å, degrees): 5.2444 5.2444 5.2444 60.00 60.00 60.00
Fractional coordinates of all 6 atoms:
Zr 0.1250 0.1250 0.1250
Zr 0.8750 0.8750 0.8750
Zn 0.0000 0.5000 0.5000
Zn 0.5000 0.0000 0.5000
Zn 0.5000 0.5000 0.0000
Zn 0.5000 0.5000 0.5000

Largest 6 diffraction maxima, most intense first, 5 to 70 degrees two-theta:
d 2.236, 40.33°, intensity 100
d 2.622, 34.19°, intensity 37
d 2.141, 42.21°, intensity 32
d 1.427, 65.38°, intensity 30
d 1.514, 61.22°, intensity 13
d 1.854, 49.14°, intensity 2

***

Entry 8:
Diffraction record for Zr3Zn. The X-ray diffraction stick pattern is theoretical, not measured: it uses a cell relaxed with PBE and Cu Kα (λ = 1.5418 Å).
Kinematic intensities with the Lorentz-polarization factor, no thermal factor.

Crystal structure
Lattice parameters (Å, degrees): 5.4424 5.4424 5.4424 133.45 133.45 67.95
Fractional coordinates of all 4 atoms:
Zr 0.0000 0.0000 0.0000
Zr 0.2500 0.7500 0.5000
Zr 0.7500 0.2500 0.5000
Zn 0.5000 0.5000 0.0000

Largest 7 diffraction maxima, most intense first, 5 to 70 degrees two-theta:
d 2.522, 35.60°, intensity 100
d 2.150, 42.01°, intensity 31
d 1.557, 59.36°, intensity 22
d 2.257, 39.95°, intensity 18
d 1.348, 69.74°, intensity 13
d 1.521, 60.93°, intensity 10
d 3.883, 22.90°, intensity 1